No. 1
Diffraction record for KSbO. The powder diffractogram is simulated, not measured: it uses a crystal structure in Alexandria, relaxed with PBE and Cu Kα (λ = 1.5418 Å).
Peak positions follow from Bragg's law for the DFT cell and can differ from measured ones.

Main lines, in order of falling intensity (2θ from 5° to 70°):
2θ 29.59, 3.019 Å, rel. 100; 2θ 36.01, 2.494 Å, rel. 39; 2θ 25.25, 3.527 Å, rel. 30; 2θ 15.18, 5.838 Å, rel. 26; 2θ 47.98, 1.896 Å, rel. 25; 2θ 60.84, 1.523 Å, rel. 24; 2θ 53.80, 1.704 Å, rel. 23; 2θ 30.63, 2.919 Å, rel. 23; 2θ 51.85, 1.763 Å, rel. 13; 2θ 61.43, 1.509 Å, rel. 12

Cell and atoms:
Lattice parameters (Å, degrees): 3.5268 3.5268 5.8381 90.00 90.00 90.00
Sites, in units of the cell vectors:
1 K 0.0000 0.0000 0.0000
2 Sb 0.5000 0.5000 0.5064
3 O 0.5000 0.5000 0.8388

***

No. 2
Diffraction record for K2TaSbO6. The powder diffractogram is simulated, not measured: it uses a crystal structure in Alexandria, relaxed with PBE and Cu Kα (λ = 1.5418 Å).
Peak positions follow from Bragg's law for the DFT cell and can differ from measured ones.

Main lines, in order of falling intensity (2θ from 5° to 70°):
2θ 31.47, 2.843 Å, rel. 100; 2θ 22.11, 4.020 Å, rel. 63; 2θ 56.04, 1.641 Å, rel. 39; 2θ 45.11, 2.010 Å, rel. 34; 2θ 50.79, 1.798 Å, rel. 28; 2θ 65.70, 1.421 Å, rel. 20; 2θ 19.12, 4.642 Å, rel. 6; 2θ 38.80, 2.321 Å, rel. 5; 2θ 37.09, 2.424 Å, rel. 4; 2θ 49.41, 1.844 Å, rel. 2

Cell and atoms:
Lattice parameters (Å, degrees): 5.6851 5.6851 5.6851 60.00 60.00 60.00
Sites, in units of the cell vectors:
1 K 0.2500 0.2500 0.2500
2 K 0.7500 0.7500 0.7500
3 Ta 0.0000 0.0000 0.0000
4 Sb 0.5000 0.5000 0.5000
5 O 0.2494 0.2494 0.7506
6 O 0.2494 0.7506 0.2494
7 O 0.2494 0.7506 0.7506
8 O 0.7506 0.2494 0.2494
9 O 0.7506 0.2494 0.7506
10 O 0.7506 0.7506 0.2494

***

No. 3
Diffraction record for K2TaSb3O12. The powder diffractogram is simulated, not measured: it uses a crystal structure in Alexandria, relaxed with PBE and Cu Kα (λ = 1.5418 Å).
Peak positions follow from Bragg's law for the DFT cell and can differ from measured ones.

Main lines, in order of falling intensity (2θ from 5° to 70°):
2θ 14.74, 6.009 Å, rel. 100; 2θ 28.37, 3.146 Å, rel. 69; 2θ 29.74, 3.004 Å, rel. 68; 2θ 28.15, 3.169 Å, rel. 36; 2θ 49.09, 1.856 Å, rel. 28; 2θ 49.64, 1.837 Å, rel. 27; 2θ 29.32, 3.046 Å, rel. 21; 2θ 45.28, 2.003 Å, rel. 21; 2θ 58.70, 1.573 Å, rel. 19; 2θ 28.48, 3.134 Å, rel. 16

Cell and atoms:
Lattice parameters (Å, degrees): 7.4234 7.4234 7.4234 59.32 59.32 59.32
Sites, in units of the cell vectors:
1 K 0.1217 0.1217 0.1217
2 K 0.8783 0.8783 0.8783
3 Ta 0.5000 0.5000 0.5000
4 Sb 0.0000 0.5000 0.5000
5 Sb 0.5000 0.0000 0.5000
6 Sb 0.5000 0.5000 0.0000
7 O 0.1732 0.1732 0.5759
8 O 0.1732 0.5759 0.1732
9 O 0.1815 0.5672 0.5672
10 O 0.4241 0.8268 0.8268
11 O 0.4328 0.4328 0.8185
12 O 0.4328 0.8185 0.4328
13 O 0.5672 0.1815 0.5672
14 O 0.5672 0.5672 0.1815
15 O 0.5759 0.1732 0.1732
16 O 0.8185 0.4328 0.4328
17 O 0.8268 0.4241 0.8268
18 O 0.8268 0.8268 0.4241

***

No. 4
Diffraction record for K2ThSbO6. The powder diffractogram is simulated, not measured: it uses a crystal structure in Alexandria, relaxed with PBE and Cu Kα (λ = 1.5418 Å).
Peak positions follow from Bragg's law for the DFT cell and can differ from measured ones.

Main lines, in order of falling intensity (2θ from 5° to 70°):
2θ 29.31, 3.047 Å, rel. 100; 2θ 20.61, 4.309 Å, rel. 67; 2θ 51.98, 1.759 Å, rel. 40; 2θ 41.93, 2.155 Å, rel. 33; 2θ 47.16, 1.927 Å, rel. 31; 2θ 60.80, 1.523 Å, rel. 20; 2θ 68.91, 1.363 Å, rel. 18; 2θ 64.92, 1.436 Å, rel. 15; 2θ 17.83, 4.976 Å, rel. 11; 2θ 34.52, 2.598 Å, rel. 9

Cell and atoms:
Lattice parameters (Å, degrees): 6.0939 6.0939 6.0939 60.00 60.00 60.00
Sites, in units of the cell vectors:
1 K 0.2500 0.2500 0.2500
2 K 0.7500 0.7500 0.7500
3 Th 0.0000 0.0000 0.0000
4 Sb 0.5000 0.5000 0.5000
5 O 0.2664 0.2664 0.7336
6 O 0.2664 0.7336 0.2664
7 O 0.2664 0.7336 0.7336
8 O 0.7336 0.2664 0.2664
9 O 0.7336 0.2664 0.7336
10 O 0.7336 0.7336 0.2664

***

No. 5
Diffraction record for KTi2SbO8. The powder diffractogram is simulated, not measured: it uses a crystal structure in Alexandria, relaxed with PBE and Cu Kα (λ = 1.5418 Å).
Peak positions follow from Bragg's law for the DFT cell and can differ from measured ones.

Main lines, in order of falling intensity (2θ from 5° to 70°):
2θ 21.10, 4.211 Å, rel. 100; 2θ 27.46, 3.248 Å, rel. 82; 2θ 19.70, 4.505 Å, rel. 77; 2θ 12.33, 7.178 Å, rel. 58; 2θ 30.14, 2.965 Å, rel. 35; 2θ 34.20, 2.622 Å, rel. 26; 2θ 35.56, 2.525 Å, rel. 20; 2θ 33.12, 2.705 Å, rel. 18; 2θ 56.69, 1.624 Å, rel. 15; 2θ 51.91, 1.762 Å, rel. 14

Cell and atoms:
Lattice parameters (Å, degrees): 5.4387 5.4387 7.7706 108.73 108.73 66.08
Sites, in units of the cell vectors:
1 K 0.0000 0.0000 0.0000
2 Ti 0.4354 0.4354 0.7261
3 Ti 0.5646 0.5646 0.2739
4 Sb 0.0000 0.0000 0.5000
5 O 0.2109 0.7395 0.3070
6 O 0.2345 0.2345 0.5709
7 O 0.2605 0.7891 0.6930
8 O 0.4099 0.4099 0.9638
9 O 0.5901 0.5901 0.0362
10 O 0.7395 0.2109 0.3070
11 O 0.7655 0.7655 0.4291
12 O 0.7891 0.2605 0.6930

***

No. 6
Diffraction record for KTlSbO3. The powder diffractogram is simulated, not measured: it uses a crystal structure in Alexandria, relaxed with PBE and Cu Kα (λ = 1.5418 Å).
Peak positions follow from Bragg's law for the DFT cell and can differ from measured ones.

Main lines, in order of falling intensity (2θ from 5° to 70°):
2θ 30.18, 2.961 Å, rel. 100; 2θ 28.10, 3.175 Å, rel. 99; 2θ 27.81, 3.208 Å, rel. 63; 2θ 30.63, 2.919 Å, rel. 47; 2θ 15.39, 5.756 Å, rel. 43; 2θ 48.03, 1.894 Å, rel. 37; 2θ 38.70, 2.326 Å, rel. 34; 2θ 20.27, 4.382 Å, rel. 32; 2θ 27.37, 3.258 Å, rel. 27; 2θ 41.56, 2.173 Å, rel. 24

Cell and atoms:
Lattice parameters (Å, degrees): 7.2775 7.2775 5.8954 93.56 93.56 127.14
Sites, in units of the cell vectors:
1 K 0.0895 0.9105 0.7500
2 K 0.9105 0.0895 0.2500
3 Tl 0.2552 0.7448 0.2500
4 Tl 0.7448 0.2552 0.7500
5 Sb 0.4437 0.5563 0.7500
6 Sb 0.5563 0.4437 0.2500
7 O 0.2788 0.3346 0.0095
8 O 0.2926 0.7074 0.7500
9 O 0.3346 0.2788 0.5095
10 O 0.6654 0.7212 0.4905
11 O 0.7074 0.2926 0.2500
12 O 0.7212 0.6654 0.9905

***

- Number 1 is which compound?
  KSbO